Entry 1:
LuAl7Fe5: calculated X-ray diffraction stick pattern (λ = 1.5418 Å (Cu Kα)), based on a structure optimized by DFT (GGA-PBE).
Lines closer than 0.1° are merged.

Peak list (10 most intense, 2θ from 5° to 70°, most intense first)
Position (°2θ)	d/Å	I_rel
41.8	2.162	100
41.9	2.155	88
29.3	3.047	82
14.6	6.078	68
20.6	4.322	43
42.0	2.150	41
42.2	2.142	38
29.4	3.039	36
36.2	2.480	25
60.9	1.522	23

Cell and atoms:
Cell: 6.5722 6.5722 6.5722 Å, 135.27 98.03 98.62°
Sites, in units of the cell vectors:
Lu 0.0000 0.0000 0.0000
Al 0.2103 0.5006 0.7097
Al 0.2300 0.7300 0.5000
Al 0.3442 0.3442 0.0000
Al 0.3548 0.0131 0.3418
Al 0.6670 0.6670 0.0000
Al 0.6713 0.0131 0.6582
Al 0.7908 0.5006 0.2903
Fe 0.0070 0.0038 0.4981
Fe 0.0070 0.5088 0.0032
Fe 0.5057 0.0038 0.9968
Fe 0.5057 0.5088 0.5019
Fe 0.7717 0.2717 0.5000



Entry 2:
LuAl10Fe2: calculated X-ray diffraction stick pattern (λ = 1.5418 Å (Cu Kα)), based on a structure optimized by DFT (GGA-PBE).
Lines closer than 0.1° are merged.

Peak list (10 most intense, 2θ from 5° to 70°, most intense first)
Position (°2θ)	d/Å	I_rel
41.1	2.199	100
40.5	2.228	82
40.3	2.236	70
16.5	5.360	56
28.5	3.134	48
13.2	6.693	45
28.2	3.162	42
37.3	2.408	42
58.9	1.567	41
32.9	2.723	39

Cell and atoms:
Cell: 6.7427 6.7427 8.9502 Å, 90.00 90.00 97.00°
Sites, in units of the cell vectors:
Lu 0.1269 0.8731 0.7500
Lu 0.8731 0.1269 0.2500
Al 0.1349 0.4168 0.7500
Al 0.1568 0.8432 0.0965
Al 0.1568 0.8432 0.4035
Al 0.2202 0.4777 0.2500
Al 0.2272 0.2272 0.0000
Al 0.2272 0.2272 0.5000
Al 0.3741 0.6259 0.5486
Al 0.3741 0.6259 0.9514
Al 0.4168 0.1349 0.2500
Al 0.4777 0.2202 0.7500
Al 0.5223 0.7798 0.2500
Al 0.5833 0.8651 0.7500
Al 0.6259 0.3741 0.0486
Al 0.6259 0.3741 0.4514
Al 0.7728 0.7728 0.0000
Al 0.7728 0.7728 0.5000
Al 0.7798 0.5223 0.7500
Al 0.8432 0.1568 0.5965
Al 0.8432 0.1568 0.9035
Al 0.8651 0.5833 0.2500
Fe 0.0000 0.5000 0.0000
Fe 0.0000 0.5000 0.5000
Fe 0.5000 0.0000 0.0000
Fe 0.5000 0.0000 0.5000